Record 1
# LiFeSn2
Simulated X-ray diffraction stick pattern, Cu Kα (weighted mean of Kα1 and Kα2). Input: a crystal structure in OQMD, relaxed with GGA-PBE.
No peak broadening, texture or thermal motion is included.

Main lines, sorted by position (15 to 90 degrees two-theta):
22.50°, I = 430, hkl 1 1 1
37.16°, I = 1000, hkl 2 2 0
43.88°, I = 237, hkl 3 1 1
53.57°, I = 175, hkl 4 0 0
66.99°, I = 362, hkl 4 2 2
79.18°, I = 115, hkl 4 4 0

Structural model:
Cell lengths 6.8432, 6.8432, 6.8432 Å; angles 90.00, 90.00, 90.00 degrees
Space group F-43m (No. 216)
Symmetry-distinct sites (fractional):
Li 0.0000 0.0000 0.0000 [4 per cell]
Fe 0.2500 0.2500 0.7500 [4 per cell]
Sn 0.0000 0.0000 0.5000 [4 per cell]
Sn 0.2500 0.2500 0.2500 [4 per cell]



Record 2
# Tm3AuC4
Simulated X-ray diffraction stick pattern, Cu Kα (weighted mean of Kα1 and Kα2). Input: a crystal structure in OQMD, relaxed with GGA-PBE.
No peak broadening, texture or thermal motion is included.

Main lines, sorted by position (15 to 90 degrees two-theta):
30.94°, I = 1000, hkl 1 2 1
34.85°, I = 222, hkl 2 0 0
35.71°, I = 215, hkl 0 4 0
37.03°, I = 184, hkl 0 0 2
50.76°, I = 150, hkl 2 4 0
60.07°, I = 170, hkl 3 2 1

Structural model:
Cell lengths 5.1482, 10.0579, 4.8551 Å; angles 90.00, 90.00, 90.00 degrees
Space group Imm2 (No. 44)
Symmetry-distinct sites (fractional):
Tm 0.0000 0.0000 0.0000 [2 per cell]
Tm 0.0000 0.2562 0.5037 [4 per cell]
Au 0.0000 0.5000 0.0523 [2 per cell]
C 0.0000 0.2253 0.0104 [4 per cell]
C 0.1238 0.0000 0.4991 [4 per cell]



Record 3
# TbNdPBr2
Simulated X-ray diffraction stick pattern, Cu Kα (weighted mean of Kα1 and Kα2). Input: a crystal structure in OQMD, relaxed with GGA-PBE.
No peak broadening, texture or thermal motion is included.

Main lines, sorted by position (15 to 90 degrees two-theta):
25.15°, I = 224, hkl 1 0 0
30.25°, I = 1000, hkl 0 1 2
42.28°, I = 285, hkl 1 0 4
44.31°, I = 294, hkl 1 1 0
54.59°, I = 187, hkl 2 0 2
72.85°, I = 158, hkl 1 2 2

Structural model:
Cell lengths 4.0883, 4.0883, 10.7242 Å; angles 90.00, 90.00, 120.00 degrees
Space group P3m1 (No. 156)
Symmetry-distinct sites (fractional):
Tb 0.0000 0.0000 0.0000 [1 per cell]
Nd 0.3333 0.6667 0.7080 [1 per cell]
P 0.6667 0.3333 0.8608 [1 per cell]
Br 0.0000 0.0000 0.5303 [1 per cell]
Br 0.3333 0.6667 0.1681 [1 per cell]



Record 4
# TbNdCu2P4
Simulated X-ray diffraction stick pattern, Cu Kα (weighted mean of Kα1 and Kα2). Input: a crystal structure in OQMD, relaxed with GGA-PBE.
No peak broadening, texture or thermal motion is included.

Main lines, sorted by position (15 to 90 degrees two-theta):
25.28°, I = 698, hkl 1 0 1
36.19°, I = 614, hkl 0 0 4
38.35°, I = 1000, hkl 1 1 2
48.30°, I = 305, hkl 2 0 0
61.82°, I = 336, hkl 2 0 4
83.41°, I = 203, hkl 3 1 2

Structural model:
Cell lengths 3.7686, 3.7686, 9.9122 Å; angles 90.00, 90.00, 90.00 degrees
Space group P4mm (No. 99)
Symmetry-distinct sites (fractional):
Tb 0.0000 0.0000 0.0000 [1 per cell]
Nd 0.5000 0.5000 0.4649 [1 per cell]
Cu 0.0000 0.5000 0.7380 [2 per cell]
P 0.0000 0.0000 0.5888 [1 per cell]
P 0.0000 0.5000 0.2274 [2 per cell]
P 0.5000 0.5000 0.8891 [1 per cell]



Record 5
# Sm2Ni3B6
Simulated X-ray diffraction stick pattern, Cu Kα (weighted mean of Kα1 and Kα2). Input: a crystal structure in OQMD, relaxed with GGA-PBE.
No peak broadening, texture or thermal motion is included.

Main lines, sorted by position (15 to 90 degrees two-theta):
22.74°, I = 189, hkl 2 0 0
25.20°, I = 343, hkl 0 0 1
30.70°, I = 486, hkl 2 2 0
32.60°, I = 191, hkl 0 2 1
40.12°, I = 1000, hkl 2 2 1
41.37°, I = 181, hkl 0 4 0

Structural model:
Cell lengths 7.8220, 8.7291, 3.5338 Å; angles 90.00, 90.00, 90.00 degrees
Space group Cmmm (No. 65)
Symmetry-distinct sites (fractional):
Sm 0.0000 0.2263 0.0000 [4 per cell]
Ni 0.0000 0.5000 0.5000 [2 per cell]
Ni 0.2282 0.5000 0.0000 [4 per cell]
B 0.1136 0.0000 0.5000 [4 per cell]
B 0.2373 0.3508 0.5000 [8 per cell]